Theoretical powder diffraction line list
Compound: ReW14
Radiation: Cu Kα
Structure: a PBE-relaxed structure

Largest 10 diffraction maxima, most intense first, 5° ≤ 2θ ≤ 70°:
d (Å)	2θ (°)	I (rel.)	(hkl)
2.152	41.98	100	4 1 1
2.371	37.95	80	4 1 0
2.211	40.81	63	2 1 2
2.102	43.04	47	3 3 1
2.270	39.71	36	2 0 2
2.304	39.09	34	3 3 0
1.386	67.58	25	4 1 3
1.403	66.66	22	5 3 2
2.563	35.01	21	0 0 2
2.059	43.98	13	2 2 2

Atomic structure:
```
ReW14
1.0
9.776 0.000 0.000
0.000 9.776 0.000
0.000 0.000 5.126
Re W
2 28
Direct
0.000 0.000 0.000
0.500 0.500 0.500
0.035 0.370 0.500
0.063 0.258 0.000
0.101 0.101 0.500
0.130 0.535 0.000
0.186 0.814 0.252
0.186 0.814 0.748
0.242 0.563 0.500
0.258 0.063 0.000
0.314 0.314 0.248
0.314 0.314 0.752
0.370 0.035 0.500
0.399 0.601 0.000
0.437 0.758 0.500
0.465 0.870 0.000
0.535 0.130 0.000
0.563 0.242 0.500
0.601 0.399 0.000
0.630 0.965 0.500
0.686 0.686 0.248
0.686 0.686 0.752
0.742 0.937 0.000
0.758 0.437 0.500
0.814 0.186 0.252
0.814 0.186 0.748
0.870 0.465 0.000
0.899 0.899 0.500
0.937 0.742 0.000
0.965 0.630 0.500
```